[1]
Diffraction record for Ti5Sb2P2. The powder diffraction line list is computed, not measured: it uses DFT lattice parameters and positions (PBE) and a wavelength of 1.5418 Å.
Intensities are scaled so that the largest is 100.

Principal peaks in the range 2θ from 10° to 80°, low angle first:
2θ = 26.43°, d = 3.372 Å, I 58
2θ = 27.12°, d = 3.288 Å, I 37
2θ = 29.57°, d = 3.021 Å, I 83
2θ = 37.54°, d = 2.396 Å, I 65
2θ = 37.73°, d = 2.385 Å, I 59
2θ = 38.04°, d = 2.365 Å, I 100
2θ = 39.92°, d = 2.258 Å, I 33
2θ = 42.92°, d = 2.107 Å, I 72
2θ = 54.65°, d = 1.679 Å, I 37
2θ = 77.31°, d = 1.234 Å, I 31

Structural model:
Lattice parameters (Å, degrees): 7.600 7.600 6.741 90.00 90.00 52.71
Element x y z (fractional)
Ti  0.000  0.000  0.000
Ti  0.042  0.729  0.663
Ti  0.229  0.542  0.163
Ti  0.271  0.958  0.663
Ti  0.458  0.771  0.163
Ti  0.500  0.500  0.500
Ti  0.542  0.229  0.837
Ti  0.729  0.042  0.337
Ti  0.771  0.458  0.837
Ti  0.958  0.271  0.337
Sb  0.209  0.209  0.000
Sb  0.291  0.291  0.500
Sb  0.709  0.709  0.500
Sb  0.791  0.791  0.000
P  0.138  0.862  0.366
P  0.362  0.638  0.866
P  0.638  0.362  0.134
P  0.862  0.138  0.634

---

[2]
Diffraction record for Tm3SbP2. The powder diffraction line list is computed, not measured: it uses DFT lattice parameters and positions (PBE) and a wavelength of 1.5418 Å.
Intensities are scaled so that the largest is 100.

Principal peaks in the range 2θ from 10° to 80°, low angle first:
2θ = 27.06°, d = 3.295 Å, I 100
2θ = 30.27°, d = 2.953 Å, I 91
2θ = 31.63°, d = 2.829 Å, I 61
2θ = 34.29°, d = 2.615 Å, I 30
2θ = 34.40°, d = 2.607 Å, I 83
2θ = 36.80°, d = 2.442 Å, I 63
2θ = 37.42°, d = 2.403 Å, I 28
2θ = 46.04°, d = 1.972 Å, I 27
2θ = 49.29°, d = 1.849 Å, I 35
2θ = 56.30°, d = 1.634 Å, I 43

Structural model:
Lattice parameters (Å, degrees): 6.503 6.503 9.612 90.00 90.00 135.89
Element x y z (fractional)
Tm  0.097  0.903  0.750
Tm  0.374  0.626  0.548
Tm  0.374  0.626  0.952
Tm  0.626  0.374  0.048
Tm  0.626  0.374  0.452
Tm  0.903  0.097  0.250
Sb  0.222  0.778  0.250
Sb  0.778  0.222  0.750
P  0.000  0.000  0.000
P  0.000  0.000  0.500
P  0.470  0.530  0.250
P  0.530  0.470  0.750

---

[3]
Diffraction record for SbP2W. The powder diffraction line list is computed, not measured: it uses DFT lattice parameters and positions (PBE) and a wavelength of 1.5418 Å.
Intensities are scaled so that the largest is 100.

Principal peaks in the range 2θ from 10° to 80°, low angle first:
2θ = 10.86°, d = 8.145 Å, I 26
2θ = 21.82°, d = 4.072 Å, I 55
2θ = 32.79°, d = 2.731 Å, I 55
2θ = 35.24°, d = 2.547 Å, I 100
2θ = 43.85°, d = 2.065 Å, I 49
2θ = 49.49°, d = 1.842 Å, I 23
2θ = 56.92°, d = 1.618 Å, I 25
2θ = 61.69°, d = 1.504 Å, I 20
2θ = 68.74°, d = 1.366 Å, I 14
2θ = 74.98°, d = 1.267 Å, I 18

Structural model:
Lattice parameters (Å, degrees): 8.356 8.356 8.356 22.33 22.33 22.33
Element x y z (fractional)
Sb  0.000  0.000  0.000
P  0.233  0.233  0.233
P  0.767  0.767  0.767
W  0.500  0.500  0.500

---

[4]
Diffraction record for Y5Sb4P. The powder diffraction line list is computed, not measured: it uses DFT lattice parameters and positions (PBE) and a wavelength of 1.5418 Å.
Intensities are scaled so that the largest is 100.

Principal peaks in the range 2θ from 10° to 80°, low angle first:
2θ = 29.17°, d = 3.061 Å, I 96
2θ = 29.28°, d = 3.050 Å, I 44
2θ = 41.78°, d = 2.162 Å, I 100
2θ = 51.79°, d = 1.765 Å, I 34
2θ = 60.49°, d = 1.530 Å, I 11
2θ = 68.55°, d = 1.369 Å, I 16
2θ = 68.61°, d = 1.368 Å, I 15
2θ = 68.77°, d = 1.365 Å, I 13
2θ = 76.24°, d = 1.249 Å, I 21
2θ = 76.39°, d = 1.247 Å, I 9

Structural model:
Lattice parameters (Å, degrees): 15.556 15.556 15.556 164.00 164.00 22.70
Element x y z (fractional)
Y  0.000  0.000  0.000
Y  0.201  0.201  0.000
Y  0.408  0.408  0.000
Y  0.592  0.592  0.000
Y  0.799  0.799  0.000
Sb  0.099  0.099  0.000
Sb  0.303  0.303  0.000
Sb  0.697  0.697  0.000
Sb  0.901  0.901  0.000
P  0.500  0.500  0.000

---

[5]
Diffraction record for Zn2SbP2. The powder diffraction line list is computed, not measured: it uses DFT lattice parameters and positions (PBE) and a wavelength of 1.5418 Å.
Intensities are scaled so that the largest is 100.

Principal peaks in the range 2θ from 10° to 80°, low angle first:
2θ = 16.31°, d = 5.435 Å, I 17
2θ = 30.61°, d = 2.921 Å, I 60
2θ = 32.88°, d = 2.724 Å, I 100
2θ = 34.87°, d = 2.573 Å, I 84
2θ = 43.83°, d = 2.065 Å, I 57
2θ = 47.25°, d = 1.924 Å, I 54
2θ = 55.86°, d = 1.646 Å, I 43
2θ = 63.72°, d = 1.460 Å, I 18
2θ = 66.41°, d = 1.408 Å, I 37
2θ = 74.74°, d = 1.270 Å, I 17

Structural model:
Lattice parameters (Å, degrees): 6.170 6.170 6.170 140.88 140.88 56.51
Element x y z (fractional)
Zn  0.115  0.115  0.000
Zn  0.885  0.885  0.000
Sb  0.500  0.500  0.000
P  0.250  0.750  0.500
P  0.750  0.250  0.500

---

[6]
Diffraction record for ZrSbP. The powder diffraction line list is computed, not measured: it uses DFT lattice parameters and positions (PBE) and a wavelength of 1.5418 Å.
Intensities are scaled so that the largest is 100.

Principal peaks in the range 2θ from 10° to 80°, low angle first:
2θ = 26.82°, d = 3.324 Å, I 44
2θ = 36.00°, d = 2.495 Å, I 64
2θ = 36.24°, d = 2.479 Å, I 14
2θ = 37.28°, d = 2.412 Å, I 100
2θ = 51.83°, d = 1.764 Å, I 22
2θ = 52.00°, d = 1.758 Å, I 19
2θ = 59.30°, d = 1.558 Å, I 10
2θ = 65.56°, d = 1.424 Å, I 37
2θ = 68.05°, d = 1.378 Å, I 11
2θ = 71.81°, d = 1.315 Å, I 12

Structural model:
Lattice parameters (Å, degrees): 5.550 5.550 5.550 142.94 142.94 53.42
Element x y z (fractional)
Zr  0.000  0.000  0.000
Sb  0.692  0.692  0.000
P  0.400  0.400  0.000

---

[7]
Diffraction record for Zr5SbP3. The powder diffraction line list is computed, not measured: it uses DFT lattice parameters and positions (PBE) and a wavelength of 1.5418 Å.
Intensities are scaled so that the largest is 100.

Principal peaks in the range 2θ from 10° to 80°, low angle first:
2θ = 12.25°, d = 7.223 Å, I 8
2θ = 21.31°, d = 4.170 Å, I 17
2θ = 26.57°, d = 3.354 Å, I 29
2θ = 36.56°, d = 2.458 Å, I 17
2θ = 37.35°, d = 2.408 Å, I 87
2θ = 38.51°, d = 2.338 Å, I 100
2θ = 54.73°, d = 1.677 Å, I 30
2θ = 67.36°, d = 1.390 Å, I 10
2θ = 68.14°, d = 1.376 Å, I 27
2θ = 78.57°, d = 1.218 Å, I 19

Structural model:
Lattice parameters (Å, degrees): 8.341 8.341 5.645 90.00 90.00 120.00
Element x y z (fractional)
Zr  0.000  0.297  0.250
Zr  0.000  0.703  0.750
Zr  0.297  0.000  0.250
Zr  0.297  0.297  0.750
Zr  0.333  0.667  0.000
Zr  0.333  0.667  0.500
Zr  0.667  0.333  0.000
Zr  0.667  0.333  0.500
Zr  0.703  0.000  0.750
Zr  0.703  0.703  0.250
Sb  0.000  0.000  0.000
Sb  0.000  0.000  0.500
P  0.000  0.386  0.750
P  0.000  0.614  0.250
P  0.386  0.000  0.750
P  0.386  0.386  0.250
P  0.614  0.000  0.250
P  0.614  0.614  0.750

---

[8]
Diffraction record for Sc2P3. The powder diffraction line list is computed, not measured: it uses DFT lattice parameters and positions (PBE) and a wavelength of 1.5418 Å.
Intensities are scaled so that the largest is 100.

Principal peaks in the range 2θ from 10° to 80°, low angle first:
2θ = 31.66°, d = 2.826 Å, I 30
2θ = 36.16°, d = 2.484 Å, I 58
2θ = 36.57°, d = 2.457 Å, I 38
2θ = 38.57°, d = 2.334 Å, I 100
2θ = 38.72°, d = 2.325 Å, I 42
2θ = 41.52°, d = 2.175 Å, I 35
2θ = 46.46°, d = 1.955 Å, I 19
2θ = 49.66°, d = 1.836 Å, I 28
2θ = 51.78°, d = 1.766 Å, I 14
2θ = 73.99°, d = 1.281 Å, I 13

Structural model:
Lattice parameters (Å, degrees): 7.313 5.149 7.775 65.28 39.76 74.96
Element x y z (fractional)
Sc  0.152  0.848  0.251
Sc  0.501  0.999  0.402
Sc  0.848  0.152  0.749
Sc  0.999  0.501  0.098
P  0.056  0.630  0.686
P  0.085  0.085  0.915
P  0.335  0.335  0.165
P  0.564  0.621  0.194
P  0.621  0.564  0.620
P  0.630  0.056  0.629

---

What did the eighth record say?
Diffraction record for Sc2P3. The powder diffraction line list is computed, not measured: it uses DFT lattice parameters and positions (PBE) and a wavelength of 1.5418 Å.
Intensities are scaled so that the largest is 100.

Principal peaks in the range 2θ from 10° to 80°, low angle first:
2θ = 31.66°, d = 2.826 Å, I 30
2θ = 36.16°, d = 2.484 Å, I 58
2θ = 36.57°, d = 2.457 Å, I 38
2θ = 38.57°, d = 2.334 Å, I 100
2θ = 38.72°, d = 2.325 Å, I 42
2θ = 41.52°, d = 2.175 Å, I 35
2θ = 46.46°, d = 1.955 Å, I 19
2θ = 49.66°, d = 1.836 Å, I 28
2θ = 51.78°, d = 1.766 Å, I 14
2θ = 73.99°, d = 1.281 Å, I 13

Structural model:
Lattice parameters (Å, degrees): 7.313 5.149 7.775 65.28 39.76 74.96
Element x y z (fractional)
Sc  0.152  0.848  0.251
Sc  0.501  0.999  0.402
Sc  0.848  0.152  0.749
Sc  0.999  0.501  0.098
P  0.056  0.630  0.686
P  0.085  0.085  0.915
P  0.335  0.335  0.165
P  0.564  0.621  0.194
P  0.621  0.564  0.620
P  0.630  0.056  0.629

---

Q: Number 1 is which compound?
A: Ti5Sb2P2

---

Please write out number 3 again, unchanged.
Diffraction record for SbP2W. The powder diffraction line list is computed, not measured: it uses DFT lattice parameters and positions (PBE) and a wavelength of 1.5418 Å.
Intensities are scaled so that the largest is 100.

Principal peaks in the range 2θ from 10° to 80°, low angle first:
2θ = 10.86°, d = 8.145 Å, I 26
2θ = 21.82°, d = 4.072 Å, I 55
2θ = 32.79°, d = 2.731 Å, I 55
2θ = 35.24°, d = 2.547 Å, I 100
2θ = 43.85°, d = 2.065 Å, I 49
2θ = 49.49°, d = 1.842 Å, I 23
2θ = 56.92°, d = 1.618 Å, I 25
2θ = 61.69°, d = 1.504 Å, I 20
2θ = 68.74°, d = 1.366 Å, I 14
2θ = 74.98°, d = 1.267 Å, I 18

Structural model:
Lattice parameters (Å, degrees): 8.356 8.356 8.356 22.33 22.33 22.33
Element x y z (fractional)
Sb  0.000  0.000  0.000
P  0.233  0.233  0.233
P  0.767  0.767  0.767
W  0.500  0.500  0.500